Structure and calculated powder diffractogram of Ac4Ru2Br5 (a PBE-relaxed structure; Cu Kα, 1.54184 Å).
Intensities are scaled so that the largest is 100.

Principal peaks in the range 2θ from 10° to 90°, in order of falling intensity:
2θ = 28.54°, rel. 100; 2θ = 41.32°, rel. 50; 2θ = 36.36°, rel. 47; 2θ = 23.43°, rel. 43; 2θ = 24.95°, rel. 31; 2θ = 13.38°, rel. 22; 2θ = 34.25°, rel. 20; 2θ = 32.16°, rel. 17; 2θ = 11.80°, rel. 16; 2θ = 40.27°, rel. 15

Structural model:
Unit cell a=11.6995 b=11.6995 c=8.9780 alpha=97.25 beta=97.25 gamma=21.52
Atoms (fractional coordinates):
Ac: 0.0212 0.0212 0.2208
Ac: 0.3402 0.3402 0.9305
Ac: 0.6598 0.6598 0.0695
Ac: 0.9788 0.9788 0.7792
Ru: 0.4461 0.4461 0.9868
Ru: 0.5539 0.5539 0.0132
Br: 0.1614 0.1614 0.3272
Br: 0.2019 0.2019 0.8428
Br: 0.5000 0.5000 0.5000
Br: 0.7981 0.7981 0.1572
Br: 0.8386 0.8386 0.6728